Record 1
Starting from DFT lattice parameters and positions (PBE), the powder diffractogram of Sm2ScCu3 was calculated for copper Kα.
Kinematic intensities with the Lorentz-polarization factor, no thermal factor.

Principal peaks in the range 2θ from 5° to 70°, in order of falling intensity:
| h k l | two_theta | d (Å) | I (rel.) |
| --- | --- | --- | --- |
| 1 0 3 | 36.75 | 2.446 | 100 |
| 1 1 0 | 36.98 | 2.431 | 54 |
| 2 1 3 | 66.49 | 1.406 | 33 |
| 2 0 0 | 53.30 | 1.719 | 18 |
| 1 0 2 | 31.15 | 2.871 | 18 |
| 1 1 6 | 66.03 | 1.415 | 13 |
| 0 0 1 | 8.47 | 10.441 | 12 |
| 1 0 1 | 27.31 | 3.265 | 9 |

Atomic structure:
a = 3.438 Å, b = 3.438 Å, c = 10.441 Å
α = 90.00°, β = 90.00°, γ = 90.00°
Positions (direct):
1 Sm 0.000 0.000 0.176
2 Sm 0.000 0.000 0.824
3 Sc 0.000 0.000 0.500
4 Cu 0.500 0.500 0.000
5 Cu 0.500 0.500 0.362
6 Cu 0.500 0.500 0.638

---

Record 2
Starting from DFT lattice parameters and positions (PBE), the powder diffractogram of SrScCu10 was calculated for copper Kα.
Kinematic intensities with the Lorentz-polarization factor, no thermal factor.

Principal peaks in the range 2θ from 5° to 70°, in order of falling intensity:
| h k l | two_theta | d (Å) | I (rel.) |
| --- | --- | --- | --- |
| 1 2 0 | 41.91 | 2.156 | 100 |
| 1 2 2 | 46.92 | 1.937 | 40 |
| 2 0 0 | 44.66 | 2.029 | 32 |
| 0 0 4 | 40.96 | 2.204 | 30 |
| 0 0 2 | 20.15 | 4.407 | 22 |
| 0 2 0 | 35.27 | 2.545 | 19 |
| 1 3 3 | 67.84 | 1.381 | 19 |
| 2 0 4 | 62.19 | 1.493 | 16 |

Atomic structure:
a = 4.058 Å, b = 5.092 Å, c = 8.809 Å
α = 90.00°, β = 90.00°, γ = 90.00°
Positions (direct):
1 Sr 0.000 0.000 0.000
2 Sc 0.000 0.500 0.500
3 Cu 0.000 0.000 0.345
4 Cu 0.000 0.000 0.655
5 Cu 0.000 0.500 0.185
6 Cu 0.000 0.500 0.815
7 Cu 0.500 0.000 0.500
8 Cu 0.500 0.258 0.263
9 Cu 0.500 0.258 0.737
10 Cu 0.500 0.500 0.000
11 Cu 0.500 0.742 0.263
12 Cu 0.500 0.742 0.737

---

Record 3
Starting from DFT lattice parameters and positions (PBE), the powder diffractogram of SrScCu2Te4 was calculated for copper Kα.
Kinematic intensities with the Lorentz-polarization factor, no thermal factor.

Principal peaks in the range 2θ from 5° to 70°, in order of falling intensity:
| h k l | two_theta | d (Å) | I (rel.) |
| --- | --- | --- | --- |
| 1 1 2 | 26.80 | 3.326 | 100 |
| 2 2 0 | 34.27 | 2.616 | 89 |
| 1 1 4 | 45.54 | 1.992 | 47 |
| 1 2 1 | 28.25 | 3.159 | 40 |
| 0 2 2 | 31.09 | 2.877 | 38 |
| 2 0 2 | 32.66 | 2.742 | 37 |
| 0 0 2 | 20.62 | 4.308 | 23 |
| 3 1 2 | 45.22 | 2.005 | 23 |

Atomic structure:
a = 7.109 Å, b = 7.730 Å, c = 8.617 Å
α = 90.00°, β = 90.00°, γ = 90.00°
Positions (direct):
1 Sr 0.000 0.000 0.000
2 Sr 0.500 0.500 0.500
3 Sc 0.000 0.000 0.500
4 Sc 0.500 0.500 0.000
5 Cu 0.000 0.500 0.153
6 Cu 0.000 0.500 0.847
7 Cu 0.500 0.000 0.347
8 Cu 0.500 0.000 0.653
9 Te 0.225 0.212 0.312
10 Te 0.225 0.788 0.688
11 Te 0.275 0.288 0.812
12 Te 0.275 0.712 0.188
13 Te 0.725 0.288 0.188
14 Te 0.725 0.712 0.812
15 Te 0.775 0.212 0.688
16 Te 0.775 0.788 0.312

---

Record 4
Starting from DFT lattice parameters and positions (PBE), the powder diffractogram of TbScCu10 was calculated for copper Kα.
Kinematic intensities with the Lorentz-polarization factor, no thermal factor.

Principal peaks in the range 2θ from 5° to 70°, in order of falling intensity:
| h k l | two_theta | d (Å) | I (rel.) |
| --- | --- | --- | --- |
| 1 2 0 | 42.58 | 2.123 | 100 |
| 2 0 0 | 44.11 | 2.053 | 32 |
| 1 1 1 | 30.10 | 2.968 | 28 |
| 0 2 2 | 42.02 | 2.150 | 21 |
| 2 0 4 | 62.59 | 1.484 | 18 |
| 0 1 3 | 36.25 | 2.478 | 16 |
| 1 2 2 | 47.74 | 1.905 | 15 |
| 1 3 3 | 69.44 | 1.353 | 14 |

Atomic structure:
a = 4.106 Å, b = 4.971 Å, c = 8.577 Å
α = 90.00°, β = 90.00°, γ = 90.00°
Positions (direct):
1 Tb 0.000 0.000 0.000
2 Sc 0.000 0.500 0.500
3 Cu 0.000 0.000 0.340
4 Cu 0.000 0.000 0.660
5 Cu 0.000 0.500 0.175
6 Cu 0.000 0.500 0.825
7 Cu 0.500 0.000 0.500
8 Cu 0.500 0.252 0.254
9 Cu 0.500 0.252 0.746
10 Cu 0.500 0.500 0.000
11 Cu 0.500 0.748 0.254
12 Cu 0.500 0.748 0.746

---

Record 5
Starting from DFT lattice parameters and positions (PBE), the powder diffractogram of Sc2Cu2Te was calculated for copper Kα.
Kinematic intensities with the Lorentz-polarization factor, no thermal factor.

Principal peaks in the range 2θ from 5° to 70°, in order of falling intensity:
| h k l | two_theta | d (Å) | I (rel.) |
| --- | --- | --- | --- |
| 2 1 1 | 36.98 | 2.431 | 100 |
| 3 1 0 | 41.19 | 2.191 | 76 |
| 2 0 1 | 34.55 | 2.596 | 65 |
| 0 0 1 | 22.69 | 3.920 | 48 |
| 3 1 2 | 63.70 | 1.461 | 40 |
| 3 1 1 | 47.54 | 1.913 | 38 |
| 0 0 2 | 46.33 | 1.960 | 29 |
| 1 1 1 | 29.18 | 3.061 | 20 |

Atomic structure:
a = 6.930 Å, b = 6.930 Å, c = 3.920 Å
α = 90.00°, β = 90.00°, γ = 90.00°
Positions (direct):
1 Sc 0.164 0.336 0.000
2 Sc 0.336 0.836 0.000
3 Sc 0.664 0.164 0.000
4 Sc 0.836 0.664 0.000
5 Cu 0.123 0.623 0.500
6 Cu 0.377 0.123 0.500
7 Cu 0.623 0.877 0.500
8 Cu 0.877 0.377 0.500
9 Te 0.000 0.000 0.500
10 Te 0.500 0.500 0.500

---

Record 6
Starting from DFT lattice parameters and positions (PBE), the powder diffractogram of Sc6CuTe2 was calculated for copper Kα.
Kinematic intensities with the Lorentz-polarization factor, no thermal factor.

Principal peaks in the range 2θ from 5° to 70°, in order of falling intensity:
| h k l | two_theta | d (Å) | I (rel.) |
| --- | --- | --- | --- |
| 5 1 1 | 33.37 | 2.685 | 100 |
| 8 0 0 | 35.54 | 2.526 | 83 |
| 6 1 2 | 39.45 | 2.284 | 57 |
| 4 0 2 | 24.18 | 3.681 | 45 |
| 0 1 3 | 34.34 | 2.611 | 44 |
| 5 1 2 | 36.49 | 2.462 | 44 |
| 0 2 0 | 47.71 | 1.906 | 44 |
| 2 0 4 | 34.53 | 2.598 | 37 |

Atomic structure:
a = 20.199 Å, b = 3.813 Å, c = 10.752 Å
α = 90.00°, β = 90.00°, γ = 90.00°
Positions (direct):
1 Sc 0.005 0.250 0.111
2 Sc 0.024 0.750 0.379
3 Sc 0.108 0.250 0.810
4 Sc 0.137 0.750 0.060
5 Sc 0.157 0.250 0.532
6 Sc 0.231 0.750 0.740
7 Sc 0.269 0.250 0.240
8 Sc 0.343 0.750 0.032
9 Sc 0.363 0.250 0.560
10 Sc 0.392 0.750 0.310
11 Sc 0.476 0.250 0.879
12 Sc 0.495 0.750 0.611
13 Sc 0.505 0.250 0.389
14 Sc 0.524 0.750 0.121
15 Sc 0.608 0.250 0.690
16 Sc 0.637 0.750 0.440
17 Sc 0.657 0.250 0.968
18 Sc 0.731 0.750 0.760
19 Sc 0.769 0.250 0.260
20 Sc 0.843 0.750 0.468
21 Sc 0.863 0.250 0.940
22 Sc 0.892 0.750 0.190
23 Sc 0.976 0.250 0.621
24 Sc 0.995 0.750 0.889
25 Cu 0.077 0.750 0.637
26 Cu 0.423 0.250 0.137
27 Cu 0.577 0.750 0.863
28 Cu 0.923 0.250 0.363
29 Te 0.124 0.250 0.269
30 Te 0.236 0.250 0.957
31 Te 0.264 0.750 0.457
32 Te 0.376 0.750 0.769
33 Te 0.624 0.250 0.231
34 Te 0.736 0.250 0.543
35 Te 0.764 0.750 0.043
36 Te 0.876 0.750 0.731